# 1
This entry pairs a crystal structure of La2Er3Ge3 with its simulated X-ray powder pattern. Radiation: Cu Kα X-rays. Structure: DFT lattice parameters and positions (PBE).
Kinematic intensities with the Lorentz-polarization factor, no thermal factor.

Atomic structure:
a b c (Å): 8.690 8.690 6.593
angles (deg): 90.00 90.00 120.00
Fractional positions:
La 0.333 0.667 0.000
La 0.333 0.667 0.500
La 0.667 0.333 0.000
La 0.667 0.333 0.500
Er 0.000 0.243 0.250
Er 0.000 0.757 0.750
Er 0.243 0.000 0.250
Er 0.243 0.243 0.750
Er 0.757 0.000 0.750
Er 0.757 0.757 0.250
Ge 0.000 0.384 0.750
Ge 0.000 0.616 0.250
Ge 0.384 0.000 0.750
Ge 0.384 0.384 0.250
Ge 0.616 0.000 0.250
Ge 0.616 0.616 0.750

Principal peaks in the range 2θ = 10–90°, in order of rising 2θ:
2θ (°)  I_rel
27.1  16.9
29.6  31.3
31.5  35.0
34.1  76.4
34.3  100.0
35.8  37.5
50.3  22.6
52.6  29.8
55.0  15.8
56.3  20.4

# 2
This entry pairs a crystal structure of La5Er5Ge6 with its simulated X-ray powder pattern. Radiation: Cu Kα X-rays. Structure: DFT lattice parameters and positions (PBE).
Kinematic intensities with the Lorentz-polarization factor, no thermal factor.

Atomic structure:
a b c (Å): 6.539 8.762 8.762
angles (deg): 119.49 90.00 90.00
Fractional positions:
La 0.000 0.000 0.000
La 0.000 0.254 0.502
La 0.000 0.502 0.254
La 0.500 0.002 0.252
La 0.500 0.252 0.002
Er 0.251 0.586 0.917
Er 0.251 0.917 0.586
Er 0.500 0.508 0.508
Er 0.749 0.586 0.917
Er 0.749 0.917 0.586
Ge 0.000 0.254 0.859
Ge 0.000 0.648 0.648
Ge 0.000 0.859 0.254
Ge 0.500 0.260 0.645
Ge 0.500 0.645 0.260
Ge 0.500 0.851 0.851

Principal peaks in the range 2θ = 10–90°, in order of rising 2θ:
2θ (°)  I_rel
29.7  33.3
31.1  14.9
33.9  34.1
34.1  100.0
34.2  72.8
35.3  38.3
35.6  19.4
50.1  20.4
55.8  16.1
68.2  15.9

# 3
This entry pairs a crystal structure of LiEr4Ge4 with its simulated X-ray powder pattern. Radiation: Cu Kα X-rays. Structure: DFT lattice parameters and positions (PBE).
Kinematic intensities with the Lorentz-polarization factor, no thermal factor.

Atomic structure:
a b c (Å): 7.086 14.584 7.679
angles (deg): 90.00 90.00 90.00
Fractional positions:
Li 0.158 0.250 0.021
Li 0.342 0.750 0.521
Li 0.658 0.250 0.479
Li 0.842 0.750 0.979
Er 0.014 0.597 0.686
Er 0.014 0.903 0.686
Er 0.172 0.628 0.176
Er 0.172 0.872 0.176
Er 0.328 0.128 0.676
Er 0.328 0.372 0.676
Er 0.486 0.097 0.186
Er 0.486 0.403 0.186
Er 0.514 0.597 0.814
Er 0.514 0.903 0.814
Er 0.672 0.628 0.324
Er 0.672 0.872 0.324
Er 0.828 0.128 0.824
Er 0.828 0.372 0.824
Er 0.986 0.097 0.314
Er 0.986 0.403 0.314
Ge 0.018 0.250 0.588
Ge 0.167 0.037 0.966
Ge 0.167 0.463 0.966
Ge 0.216 0.750 0.863
Ge 0.284 0.250 0.363
Ge 0.333 0.537 0.466
Ge 0.333 0.963 0.466
Ge 0.482 0.750 0.088
Ge 0.518 0.250 0.912
Ge 0.667 0.037 0.534
Ge 0.667 0.463 0.534
Ge 0.716 0.750 0.637
Ge 0.784 0.250 0.137
Ge 0.833 0.537 0.034
Ge 0.833 0.963 0.034
Ge 0.982 0.750 0.412

Principal peaks in the range 2θ = 10–90°, in order of rising 2θ:
2θ (°)  I_rel
24.4  24.4
28.4  24.6
32.3  75.7
33.4  100.0
33.9  44.0
36.3  37.9
37.3  25.4
37.9  22.6
39.9  32.4
58.9  26.5